(1)
For Sr6Tl2Zn, the GGA-PBE geometry in Alexandria gives the theoretical powder diffraction line list in this record (CuKα).
Neutral-atom scattering factors, no anomalous dispersion.

Top 10 peaks for 2θ from 15° to 90°, in order of falling intensity:
two_theta  intensity
29.91  100
29.60  93
52.91  37
42.58  35
18.91  28
53.11  20
44.46  19
70.33  16
62.16  12
58.50  12

Structural model:
Cell: 5.974 5.974 11.150 Å, 90.00 90.00 120.00°
Fractional coordinates of all 9 atoms:
1 Sr 0.000 0.000 0.216
2 Sr 0.000 0.000 0.784
3 Sr 0.333 0.667 0.058
4 Sr 0.333 0.667 0.420
5 Sr 0.667 0.333 0.580
6 Sr 0.667 0.333 0.942
7 Tl 0.333 0.667 0.742
8 Tl 0.667 0.333 0.258
9 Zn 0.000 0.000 0.500

(2)
For Sr2TlZn, the GGA-PBE geometry in Alexandria gives the theoretical powder diffraction line list in this record (CuKα).
Neutral-atom scattering factors, no anomalous dispersion.

Top 10 peaks for 2θ from 15° to 90°, in order of falling intensity:
two_theta  intensity
27.38  100
35.25  50
42.67  31
58.59  22
51.45  18
69.00  14
38.19  13
56.51  13
73.32  12
24.46  12

Structural model:
Cell: 9.738 9.738 9.738 Å, 25.13 25.13 25.13°
Fractional coordinates of all 4 atoms:
1 Sr 0.244 0.244 0.244
2 Sr 0.756 0.756 0.756
3 Tl 0.000 0.000 0.000
4 Zn 0.500 0.500 0.500

> What is the formula in the first record?

Sr6Tl2Zn